Diffraction record for NdV2O4. The PXRD pattern is calculated, not measured: it uses the PBE+U geometry in Alexandria and Cu Kα (λ = 1.5418 Å).
No peak broadening, texture or thermal motion is included.

Most intense lines, 2θ = 15–90°, most intense first:
2θ (°), intensity
31.0, 100
30.6, 96
25.2, 57
25.8, 52
39.8, 52
31.8, 48
31.4, 46
47.6, 46
49.1, 40
39.7, 39

Crystal structure
```
data_NdV2O4
_chemical_formula_sum 'Nd2 V4 O8'
_cell_length_a 6.0452
_cell_length_b 6.0452
_cell_length_c 6.9079
_cell_angle_alpha 123.47
_cell_angle_beta 123.47
_cell_angle_gamma 72.96
_space_group_name_H-M_alt 'P 1'
_space_group_IT_number 1
loop_
_space_group_symop_operation_xyz
'x,y,z'
loop_
_atom_site_label
_atom_site_type_symbol
_atom_site_fract_x
_atom_site_fract_y
_atom_site_fract_z
_atom_site_occupancy
Nd1 Nd 0.1193 0.8807 0.7500 1
Nd2 Nd 0.8807 0.1193 0.2500 1
V1 V 0.0000 0.5000 0.0000 1
V2 V 0.5000 0.0000 0.5000 1
V3 V 0.5000 0.5000 0.0000 1
V4 V 0.5000 0.5000 0.5000 1
O1 O 0.2166 0.7733 0.4309 1
O2 O 0.2267 0.7834 0.0691 1
O3 O 0.2824 0.3594 0.5693 1
O4 O 0.3594 0.2824 0.0693 1
O5 O 0.6406 0.7176 0.9307 1
O6 O 0.7176 0.6406 0.4307 1
O7 O 0.7733 0.2166 0.9309 1
O8 O 0.7834 0.2267 0.5691 1
```

Diffraction record for Nd2WO6. The PXRD pattern is calculated, not measured: it uses the PBE+U geometry in Alexandria and Cu Kα (λ = 1.5418 Å).
No peak broadening, texture or thermal motion is included.

Most intense lines, 2θ = 15–90°, most intense first:
2θ (°), intensity
26.5, 100
32.3, 63
25.6, 58
32.9, 33
25.0, 30
52.1, 28
33.4, 28
47.6, 23
29.7, 22
44.9, 22

Crystal structure
```
data_Nd2WO6
_chemical_formula_sum 'Nd8 W4 O24'
_cell_length_a 5.4508
_cell_length_b 9.4222
_cell_length_c 10.2908
_cell_angle_alpha 90.00
_cell_angle_beta 90.00
_cell_angle_gamma 90.00
_space_group_name_H-M_alt 'P 1'
_space_group_IT_number 1
loop_
_space_group_symop_operation_xyz
'x,y,z'
loop_
_atom_site_label
_atom_site_type_symbol
_atom_site_fract_x
_atom_site_fract_y
_atom_site_fract_z
_atom_site_occupancy
Nd1 Nd 0.0227 0.1037 0.4623 1
Nd2 Nd 0.0345 0.2187 0.8682 1
Nd3 Nd 0.4655 0.7813 0.3682 1
Nd4 Nd 0.4773 0.8963 0.9623 1
Nd5 Nd 0.5227 0.3963 0.5377 1
Nd6 Nd 0.5345 0.2813 0.1318 1
Nd7 Nd 0.9655 0.7187 0.6318 1
Nd8 Nd 0.9773 0.6037 0.0377 1
W1 W 0.0408 0.4963 0.3520 1
W2 W 0.4592 0.5037 0.8520 1
W3 W 0.5408 0.0037 0.6480 1
W4 W 0.9592 0.9963 0.1480 1
O1 O 0.0751 0.8481 0.0277 1
O2 O 0.1699 0.9507 0.2888 1
O3 O 0.1837 0.6382 0.2404 1
O4 O 0.1900 0.6347 0.8211 1
O5 O 0.2231 0.1122 0.0652 1
O6 O 0.2489 0.5885 0.4914 1
O7 O 0.2511 0.4115 0.9914 1
O8 O 0.2769 0.8878 0.5652 1
O9 O 0.3100 0.3653 0.3211 1
O10 O 0.3163 0.3618 0.7404 1
O11 O 0.3301 0.0493 0.7888 1
O12 O 0.4249 0.1519 0.5277 1
O13 O 0.5751 0.6519 0.9723 1
O14 O 0.6699 0.5493 0.7112 1
O15 O 0.6837 0.8618 0.7596 1
O16 O 0.6900 0.8653 0.1789 1
O17 O 0.7231 0.3878 0.9348 1
O18 O 0.7489 0.9115 0.5086 1
O19 O 0.7511 0.0885 0.0086 1
O20 O 0.7769 0.6122 0.4348 1
O21 O 0.8100 0.1347 0.6789 1
O22 O 0.8163 0.1382 0.2596 1
O23 O 0.8301 0.4507 0.2112 1
O24 O 0.9249 0.3481 0.4723 1
```